This entry pairs a crystal structure of Li2VP2O7 with its computed PXRD pattern. Radiation: Cu Kα X-rays. Structure: DFT lattice parameters and positions (GGA+U).

Cell: 5.292 6.641 8.993 Å, 110.65 95.03 107.12°
Element x y z (fractional)
Li  0.111  0.256  0.016
Li  0.329  0.689  0.743
Li  0.671  0.311  0.257
Li  0.889  0.744  0.984
V  0.099  0.102  0.361
V  0.901  0.898  0.639
P  0.241  0.652  0.387
P  0.425  0.810  0.117
P  0.575  0.190  0.883
P  0.759  0.348  0.613
O  0.064  0.804  0.418
O  0.069  0.397  0.324
O  0.263  0.974  0.150
O  0.268  0.063  0.837
O  0.322  0.629  0.944
O  0.364  0.663  0.230
O  0.471  0.728  0.531
O  0.529  0.272  0.469
O  0.636  0.337  0.770
O  0.678  0.371  0.056
O  0.732  0.937  0.163
O  0.737  0.026  0.850
O  0.931  0.603  0.676
O  0.936  0.196  0.582

Largest 6 diffraction maxima, sorted by position, 2θ from 10° to 90°:
d_spacing	Rel. int.	hkl
8.220	33	0 0 1
3.883	100	1 0 1
3.861	25	-1 1 1
3.556	29	1 0 -2
3.007	100	0 2 -2
2.649	37	1 0 -3